The following is a theoretical XRD peak list of Zn4Ag. It was derived from a structure optimized by DFT (PBE), using CuKα.
Intensities are scaled so that the largest is 100.

Main lines, in order of rising 2θ (2θ from 10° to 90°):
| Position (°2θ) | I_rel |
| --- | --- |
| 17.85 | 46.9 |
| 25.34 | 40.7 |
| 31.17 | 37.8 |
| 36.14 | 100.0 |
| 40.59 | 22.8 |
| 44.66 | 17.1 |
| 52.04 | 67.4 |
| 55.46 | 10.9 |
| 61.92 | 14.7 |
| 65.00 | 22.1 |
| 76.69 | 10.0 |
| 87.84 | 28.3 |

Crystal structure
```
Zn4Ag
1.0
4.9704 0.0000 0.0000
0.0000 4.9704 0.0000
0.0000 0.0000 4.9704
Zn Ag
4 1
Cartesian
0.0000 0.0000 0.0000
0.0000 2.4852 2.4852
2.4852 0.0000 2.4852
2.4852 2.4852 0.0000
2.4852 2.4852 2.4852
```



The following is a theoretical XRD peak list of Zn5Ag3. It was derived from a structure optimized by DFT (PBE), using CuKα.
Intensities are scaled so that the largest is 100.

Main lines, in order of rising 2θ (2θ from 10° to 90°):
| Position (°2θ) | I_rel |
| --- | --- |
| 22.12 | 3.5 |
| 39.17 | 100.0 |
| 43.14 | 18.5 |
| 45.13 | 16.6 |
| 48.26 | 13.5 |
| 64.20 | 10.6 |
| 66.71 | 9.4 |
| 68.20 | 9.0 |
| 76.43 | 12.1 |
| 79.26 | 11.5 |
| 83.87 | 10.0 |
| 84.20 | 9.7 |

Crystal structure
```
Zn5Ag3
1.0
4.0181 -4.1937 0.0000
4.0181 4.1937 0.0000
0.0000 0.0000 3.7718
Zn Ag
5 3
Cartesian
0.0000 0.0000 0.0000
2.0091 2.0969 0.0000
2.0226 0.0000 1.8859
2.0091 -2.0969 0.0000
6.0137 0.0000 1.8859
4.0181 2.1900 1.8859
4.0181 0.0000 0.0000
4.0181 -2.1900 1.8859
```



The following is a theoretical XRD peak list of Zn4Ag. It was derived from a structure optimized by DFT (PBE), using CuKα.
Intensities are scaled so that the largest is 100.

Main lines, in order of rising 2θ (2θ from 10° to 90°):
| Position (°2θ) | I_rel |
| --- | --- |
| 38.34 | 96.4 |
| 38.68 | 100.0 |
| 41.13 | 83.5 |
| 41.56 | 80.4 |
| 41.90 | 77.7 |
| 42.50 | 76.2 |
| 54.20 | 32.7 |
| 56.97 | 29.4 |
| 65.29 | 19.6 |
| 71.12 | 14.2 |
| 71.30 | 27.6 |
| 72.74 | 13.9 |

Crystal structure
```
Zn4Ag
1.0
2.7714 0.0000 0.0000
-0.4103 4.2668 0.0000
-0.0835 -1.6239 6.6131
Zn Ag
4 1
Cartesian
-0.0676 1.2451 1.9380
0.7027 -0.6168 6.0008
1.5748 3.2597 0.6123
2.3452 1.3978 4.6752
1.3439 -0.8120 3.3066
```



The following is a theoretical XRD peak list of Zn3Ag2. It was derived from a structure optimized by DFT (PBE), using CuKα.
Intensities are scaled so that the largest is 100.

Main lines, in order of rising 2θ (2θ from 10° to 90°):
| Position (°2θ) | I_rel |
| --- | --- |
| 38.79 | 34.1 |
| 39.14 | 100.0 |
| 44.62 | 45.3 |
| 46.93 | 19.0 |
| 64.72 | 6.9 |
| 65.17 | 6.9 |
| 66.50 | 12.4 |
| 67.00 | 12.8 |
| 78.07 | 7.7 |
| 78.52 | 15.6 |
| 78.73 | 7.8 |
| 84.12 | 9.7 |

Crystal structure
```
Zn3Ag2
1.0
4.7183 -1.4315 0.0000
4.7183 1.4315 0.0000
-3.6984 0.0000 5.9103
Zn Ag
3 2
Cartesian
0.0000 0.0000 0.0000
1.5024 0.0000 3.5814
4.2357 0.0000 2.3289
-1.0893 0.0000 4.6536
6.8274 0.0000 1.2567
```



The following is a theoretical XRD peak list of Zn12Ag. It was derived from a structure optimized by DFT (PBE), using CuKα.
Intensities are scaled so that the largest is 100.

Main lines, in order of rising 2θ (2θ from 10° to 90°):
| Position (°2θ) | I_rel |
| --- | --- |
| 14.36 | 11.5 |
| 23.56 | 9.0 |
| 27.70 | 100.0 |
| 28.95 | 37.0 |
| 41.41 | 34.1 |
| 44.05 | 53.2 |
| 50.55 | 39.9 |
| 51.32 | 53.9 |
| 67.33 | 21.7 |
| 75.52 | 30.4 |
| 82.21 | 12.2 |
| 82.82 | 9.6 |

Crystal structure
```
Zn12Ag
1.0
0.0000 5.3413 5.3413
5.3413 0.0000 5.3413
5.3413 5.3413 0.0000
Zn Ag
12 1
Cartesian
1.8155 1.8155 0.0000
3.5258 3.5258 0.0000
1.8155 0.0000 1.8155
5.3413 3.5258 1.8155
3.5258 0.0000 3.5258
5.3413 1.8155 3.5258
0.0000 1.8155 1.8155
3.5258 5.3413 1.8155
3.5258 1.8155 5.3413
0.0000 3.5258 3.5258
1.8155 5.3413 3.5258
1.8155 3.5258 5.3413
5.3413 5.3413 5.3413
```



The following is a theoretical XRD peak list of ZnAg3. It was derived from a structure optimized by DFT (PBE), using CuKα.
Intensities are scaled so that the largest is 100.

Main lines, in order of rising 2θ (2θ from 10° to 90°):
| Position (°2θ) | I_rel |
| --- | --- |
| 35.86 | 15.7 |
| 35.96 | 8.4 |
| 38.21 | 27.0 |
| 40.84 | 100.0 |
| 53.43 | 14.6 |
| 64.38 | 5.4 |
| 64.58 | 10.6 |
| 70.86 | 18.0 |
| 77.41 | 6.2 |
| 77.59 | 12.3 |
| 79.15 | 8.7 |
| 79.39 | 4.5 |

Crystal structure
```
ZnAg3
1.0
4.7104 0.0000 0.0000
0.0000 5.7882 0.0000
0.0000 0.0000 4.9945
Zn Ag
2 6
Cartesian
1.1776 1.4470 0.8578
3.5328 4.3411 4.1367
1.1776 0.0013 3.3455
1.1776 2.8928 3.3455
1.1776 4.3411 0.8051
3.5328 5.7869 1.6490
3.5328 1.4470 4.1894
3.5328 2.8954 1.6490
```